This entry pairs a crystal structure of KCrNiOF6 with its theoretical PXRD pattern. Radiation: Cu Ka. Structure: the PBE+U geometry in Alexandria.
Lines closer than 0.1° are merged.

Most intense lines, 2θ from 15° to 90°, in order of rising 2θ:
d (Å), two_theta, Rel. int., index
3.194, 27.94, 52, 2 1 1
3.060, 29.19, 100, 0 2 2
3.040, 29.38, 65, 2 0 2
2.040, 44.40, 17, 0 3 3
1.891, 48.12, 18, 0 4 0
1.861, 48.95, 52, 2 2 4
1.606, 57.39, 20, 2 4 2
1.597, 57.73, 24, 4 2 2

Crystal structure
```
data_KCrNiOF6
_chemical_formula_sum 'K4 Cr4 Ni4 O4 F24'
_space_group_name_H-M_alt 'I m m a'
_space_group_IT_number 74
_space_group_name_Hall '-I 2b 2'
_cell_length_a 7.489
_cell_length_b 7.564
_cell_length_c 10.412
_cell_angle_alpha 90.00
_cell_angle_beta 90.00
_cell_angle_gamma 90.00
loop_
_atom_site_label
_atom_site_fract_x
_atom_site_fract_y
_atom_site_fract_z
K1 0.000 0.000 0.000
Cr1 0.000 0.000 0.500
Ni1 0.250 0.250 0.250
O1 0.000 0.250 0.787
F1 0.000 0.250 0.177
F2 0.000 0.250 0.562
F3 0.187 0.058 0.379
```